The following is a computed X-ray diffraction stick pattern of KNiPO4. It was derived from a DFT-relaxed cell (PBE+U, Alexandria), using Cu Kα (λ = 1.5418 Å).
Kinematic intensities with the Lorentz-polarization factor, no thermal factor.

Peak list (10 most intense, 10° ≤ 2θ ≤ 90°, sorted by position)
hkl 1 1 0, 2θ 13.9, rel. 70; hkl 1 1 1, 2θ 22.7, rel. 34; hkl 1 2 1, 2θ 28.1, rel. 87; hkl 2 1 1, 2θ 28.8, rel. 100; hkl 3 1 0, 2θ 32.2, rel. 43; hkl 2 2 1, 2θ 33.3, rel. 40; hkl 0 3 1, 2θ 33.9, rel. 40; hkl 1 3 1, 2θ 35.4, rel. 33; hkl 0 0 2, 2θ 36.1, rel. 29; hkl 3 1 2, 2θ 49.2, rel. 41

Cell and atoms:
abc: 8.719 9.374 4.978
angles: 90.00 90.00 90.00
Space group Pna2_1 (No. 33)
One atom of each set of equivalent atoms:
1 K 0.003 0.183 0.000 [4 per cell]
2 Ni 0.155 0.542 0.981 [4 per cell]
3 P 0.210 0.374 0.546 [4 per cell]
4 O 0.047 0.416 0.668 [4 per cell]
5 O 0.183 0.982 0.194 [4 per cell]
6 O 0.214 0.388 0.237 [4 per cell]
7 O 0.245 0.218 0.625 [4 per cell]